# 1
Starting from a crystal structure in the Materials Project, relaxed with PBE+U, the powder diffraction line list of W3O8 was simulated for CuKα.

Atomic structure:
a = 5.0723 Å, b = 5.8532 Å, c = 10.8427 Å
α = 90.00°, β = 117.24°, γ = 90.00°
Positions (direct):
W  0.0000  0.1553  0.2500
W  0.0000  0.8447  0.7500
W  0.2596  0.3306  0.9940
W  0.2596  0.6694  0.4940
W  0.7404  0.3306  0.5060
W  0.7404  0.6694  0.0060
O  0.0163  0.1025  0.8820
O  0.0163  0.8975  0.3820
O  0.0230  0.3903  0.1051
O  0.0230  0.6097  0.6051
O  0.4543  0.1556  0.3684
O  0.4543  0.8444  0.8684
O  0.4579  0.3937  0.8912
O  0.4579  0.6063  0.3912
O  0.5421  0.3937  0.6088
O  0.5421  0.6063  0.1088
O  0.5457  0.1556  0.1316
O  0.5457  0.8444  0.6316
O  0.9770  0.3903  0.3949
O  0.9770  0.6097  0.8949
O  0.9837  0.1025  0.6180
O  0.9837  0.8975  0.1180

Largest 10 diffraction maxima, most intense first, 2θ = 5–70°:
2theta  I (rel.)
29.65  100
29.91  96
35.40  83
23.92  67
19.87  36
50.46  35
17.73  34
52.23  30
18.41  29
62.97  29

# 2
Starting from a crystal structure in the Materials Project, relaxed with PBE+U, the powder diffraction line list of BaVAs2O10 was simulated for CuKα.

Atomic structure:
a = 11.4472 Å, b = 6.4576 Å, c = 14.2663 Å
α = 90.00°, β = 128.12°, γ = 90.00°
Positions (direct):
Ba  0.2221  0.1486  0.1705
Ba  0.2221  0.3514  0.6705
Ba  0.7779  0.6486  0.3295
Ba  0.7779  0.8514  0.8295
V  0.1876  0.0117  0.8721
V  0.1876  0.4883  0.3721
V  0.8124  0.5117  0.6279
V  0.8124  0.9883  0.1279
As  0.1389  0.5117  0.8966
As  0.1389  0.9883  0.3966
As  0.4742  0.6452  0.3570
As  0.4742  0.8548  0.8570
As  0.5258  0.1452  0.1430
As  0.5258  0.3548  0.6430
As  0.8611  0.0117  0.6034
As  0.8611  0.4883  0.1034
O  0.0537  0.0221  0.6961
O  0.0537  0.4779  0.1961
O  0.0585  0.0120  0.8903
O  0.0585  0.4880  0.3903
O  0.0881  0.7449  0.5444
O  0.0881  0.7551  0.0444
O  0.1967  0.1865  0.3525
O  0.1967  0.3135  0.8525
O  0.2055  0.0132  0.5399
O  0.2055  0.4868  0.0399
O  0.2073  0.7225  0.8678
O  0.2073  0.7775  0.3678
O  0.3471  0.0273  0.8341
O  0.3471  0.4727  0.3341
O  0.3497  0.0395  0.0340
O  0.3497  0.4605  0.5340
O  0.4532  0.5991  0.8764
O  0.4532  0.9009  0.3764
O  0.4815  0.6955  0.2421
O  0.4815  0.8045  0.7421
O  0.5185  0.1955  0.2579
O  0.5185  0.3045  0.7579
O  0.5468  0.0991  0.6236
O  0.5468  0.4009  0.1236
O  0.6503  0.5395  0.4660
O  0.6503  0.9605  0.9660
O  0.6529  0.5273  0.6659
O  0.6529  0.9727  0.1659
O  0.7927  0.2225  0.6322
O  0.7927  0.2775  0.1322
O  0.7945  0.5132  0.9601
O  0.7945  0.9868  0.4601
O  0.8033  0.6865  0.1475
O  0.8033  0.8135  0.6475
O  0.9119  0.2449  0.9556
O  0.9119  0.2551  0.4556
O  0.9415  0.5120  0.6097
O  0.9415  0.9880  0.1097
O  0.9463  0.5221  0.8039
O  0.9463  0.9779  0.3039

Largest 10 diffraction maxima, most intense first, 2θ = 5–70°:
2theta  I (rel.)
20.97  100
26.96  93
28.78  71
29.76  63
31.90  57
16.89  52
27.26  49
21.12  48
27.71  42
27.57  42

# 3
Starting from a crystal structure in the Materials Project, relaxed with PBE+U, the powder diffraction line list of Mg6VCO8 was simulated for CuKα.

Atomic structure:
a = 4.1888 Å, b = 4.1888 Å, c = 8.9267 Å
α = 90.00°, β = 90.00°, γ = 90.00°
Positions (direct):
Mg  0.0000  0.0000  0.0000
Mg  0.0000  0.0000  0.5000
Mg  0.0000  0.5000  0.2399
Mg  0.0000  0.5000  0.7601
Mg  0.5000  0.0000  0.2399
Mg  0.5000  0.0000  0.7601
V  0.5000  0.5000  0.5000
C  0.5000  0.5000  0.0000
O  0.0000  0.0000  0.2458
O  0.0000  0.0000  0.7542
O  0.0000  0.5000  0.0000
O  0.0000  0.5000  0.5000
O  0.5000  0.0000  0.0000
O  0.5000  0.0000  0.5000
O  0.5000  0.5000  0.2711
O  0.5000  0.5000  0.7289

Largest 10 diffraction maxima, most intense first, 2θ = 5–70°:
2theta  I (rel.)
43.20  100
60.63  64
40.42  59
62.74  27
9.91  21
36.40  20
23.46  18
31.83  10
49.73  5
55.99  3

# 4
Starting from a crystal structure in the Materials Project, relaxed with PBE+U, the powder diffraction line list of BaCaFe2Co2O7 was simulated for CuKα.

Atomic structure:
a = 6.4169 Å, b = 6.4169 Å, c = 10.3953 Å
α = 90.02°, β = 90.02°, γ = 60.32°
Positions (direct):
Ba  0.0000  0.0000  0.0000
Ba  0.6736  0.6736  0.5072
Ca  0.0015  0.0015  0.3684
Ca  0.6713  0.6713  0.8684
Fe  0.3378  0.3378  0.4335
Fe  0.3380  0.3380  0.9312
Fe  0.5072  0.9991  0.1811
Fe  0.9991  0.5072  0.1811
Co  0.1646  0.6774  0.6804
Co  0.1671  0.1671  0.6815
Co  0.5132  0.5132  0.1859
Co  0.6774  0.1646  0.6804
O  0.0276  0.4917  0.9925
O  0.1793  0.1793  0.5011
O  0.1821  0.6491  0.4924
O  0.3233  0.8489  0.7379
O  0.3298  0.3298  0.7415
O  0.3345  0.8294  0.2312
O  0.3477  0.3477  0.2472
O  0.4917  0.0276  0.9925
O  0.4928  0.4928  0.0016
O  0.6491  0.1821  0.4924
O  0.8294  0.3345  0.2312
O  0.8352  0.8352  0.7356
O  0.8383  0.8383  0.2383
O  0.8489  0.3233  0.7379

Largest 10 diffraction maxima, most intense first, 2θ = 5–70°:
2theta  I (rel.)
33.28  100
30.39  99
32.80  79
33.43  48
55.13  41
32.69  38
57.44  36
18.08  29
34.51  29
27.81  27

# 5
Starting from a crystal structure in the Materials Project, relaxed with PBE+U, the powder diffraction line list of Li2FeCo3O8 was simulated for CuKα.

Atomic structure:
a = 5.7352 Å, b = 5.7352 Å, c = 5.7352 Å
α = 59.67°, β = 59.67°, γ = 59.67°
Positions (direct):
Li  0.0000  0.0000  0.0000
Li  0.3759  0.3759  0.3759
Fe  0.6177  0.6177  0.6177
Co  0.0005  0.0005  0.4877
Co  0.0005  0.4877  0.0005
Co  0.4877  0.0005  0.0005
O  0.2130  0.7522  0.7522
O  0.2343  0.2343  0.2343
O  0.2529  0.2529  0.7870
O  0.2529  0.7870  0.2529
O  0.7522  0.2130  0.7522
O  0.7522  0.7522  0.2130
O  0.7575  0.7575  0.7575
O  0.7870  0.2529  0.2529

Largest 10 diffraction maxima, most intense first, 2θ = 5–70°:
2theta  I (rel.)
36.91  100
18.90  78
44.81  44
21.97  37
31.19  33
65.42  28
65.05  25
59.22  23
59.41  21
36.73  16

# 6
Starting from a crystal structure in the Materials Project, relaxed with PBE+U, the powder diffraction line list of TmCrO3 was simulated for CuKα.

Atomic structure:
a = 5.5662 Å, b = 7.5940 Å, c = 5.2455 Å
α = 90.00°, β = 90.00°, γ = 90.00°
Positions (direct):
Tm  0.0696  0.2500  0.0207
Tm  0.4304  0.7500  0.5207
Tm  0.5696  0.2500  0.4793
Tm  0.9304  0.7500  0.9793
Cr  0.0000  0.0000  0.5000
Cr  0.0000  0.5000  0.5000
Cr  0.5000  0.0000  0.0000
Cr  0.5000  0.5000  0.0000
O  0.0478  0.7500  0.3789
O  0.1947  0.5615  0.8103
O  0.1947  0.9385  0.8103
O  0.3053  0.0615  0.3103
O  0.3053  0.4385  0.3103
O  0.4522  0.2500  0.8789
O  0.5478  0.7500  0.1211
O  0.6947  0.5615  0.6897
O  0.6947  0.9385  0.6897
O  0.8053  0.0615  0.1897
O  0.8053  0.4385  0.1897
O  0.9522  0.2500  0.6211

Largest 10 diffraction maxima, most intense first, 2θ = 5–70°:
2theta  I (rel.)
33.28  100
23.30  26
26.13  25
34.19  24
53.78  23
60.63  21
23.43  18
32.16  17
34.32  16
49.22  16

# 7
Starting from a crystal structure in the Materials Project, relaxed with PBE+U, the powder diffraction line list of KMnO2 was simulated for CuKα.

Atomic structure:
a = 6.5767 Å, b = 2.9463 Å, c = 6.3720 Å
α = 90.00°, β = 113.85°, γ = 90.00°
Positions (direct):
K  0.0000  0.2498  0.2500
K  0.0000  0.7502  0.7500
Mn  0.5000  0.2478  0.7500
Mn  0.5000  0.7522  0.2500
O  0.3153  0.2513  0.0698
O  0.3153  0.7487  0.5698
O  0.6847  0.2513  0.4302
O  0.6847  0.7487  0.9302

Largest 10 diffraction maxima, most intense first, 2θ = 5–70°:
2theta  I (rel.)
33.04  100
39.84  94
29.70  43
34.65  41
30.68  41
52.07  40
14.73  37
53.31  35
63.25  15
64.34  14

# 8
Starting from a crystal structure in the Materials Project, relaxed with PBE+U, the powder diffraction line list of Li3MnV4O12 was simulated for CuKα.

Atomic structure:
a = 6.9609 Å, b = 6.9609 Å, c = 5.8401 Å
α = 105.84°, β = 105.84°, γ = 83.13°
Positions (direct):
Li  0.0000  0.0000  0.0000
Li  0.5173  0.4827  0.5000
Li  0.8547  0.1453  0.5000
Mn  0.6695  0.3305  0.0000
V  0.1450  0.4423  0.0219
V  0.3620  0.0437  0.4785
V  0.5577  0.8550  0.9781
V  0.9563  0.6380  0.5215
O  0.1081  0.6023  0.8091
O  0.1119  0.6074  0.3129
O  0.1260  0.1420  0.4191
O  0.3876  0.3482  0.0879
O  0.3926  0.8881  0.6871
O  0.3977  0.8919  0.1909
O  0.5326  0.2292  0.6039
O  0.6518  0.6124  0.9121
O  0.7348  0.0358  0.0868
O  0.7708  0.4674  0.3961
O  0.8580  0.8740  0.5809
O  0.9642  0.2652  0.9132

Largest 10 diffraction maxima, most intense first, 2θ = 5–70°:
2theta  I (rel.)
27.57  100
25.30  66
29.27  57
18.28  49
32.94  37
64.12  32
19.22  31
50.89  28
23.54  27
34.85  22

# 9
Starting from a crystal structure in the Materials Project, relaxed with PBE+U, the powder diffraction line list of LaZnFe2O6 was simulated for CuKα.

Atomic structure:
a = 7.7456 Å, b = 5.5120 Å, c = 5.3467 Å
α = 90.00°, β = 90.00°, γ = 90.00°
Positions (direct):
La  0.0000  0.2209  0.0000
La  0.5000  0.7791  0.5000
Zn  0.0000  0.7286  0.4724
Zn  0.5000  0.2714  0.9724
Fe  0.2505  0.2537  0.4910
Fe  0.2495  0.7463  0.9910
Fe  0.7495  0.2537  0.4910
Fe  0.7505  0.7463  0.9910
O  0.0000  0.2813  0.5670
O  0.0000  0.7694  0.8564
O  0.1921  0.9506  0.2958
O  0.1965  0.4824  0.2222
O  0.3035  0.5176  0.7222
O  0.3079  0.0494  0.7958
O  0.5000  0.2306  0.3564
O  0.5000  0.7187  0.0670
O  0.6921  0.0494  0.7958
O  0.6965  0.5176  0.7222
O  0.8035  0.4824  0.2222
O  0.8079  0.9506  0.2958

Largest 10 diffraction maxima, most intense first, 2θ = 5–70°:
2theta  I (rel.)
32.85  100
58.21  29
47.38  27
32.49  24
59.51  22
33.52  20
46.92  14
68.89  13
58.89  11
40.16  8

# 10
Starting from a crystal structure in the Materials Project, relaxed with PBE+U, the powder diffraction line list of SrCa7Mn8O23 was simulated for CuKα.

Atomic structure:
a = 7.7170 Å, b = 7.6419 Å, c = 7.6419 Å
α = 90.01°, β = 90.00°, γ = 90.00°
Positions (direct):
Sr  0.0000  0.0000  0.0000
Ca  0.0000  0.0033  0.4869
Ca  0.0000  0.4859  0.4859
Ca  0.0000  0.4869  0.0033
Ca  0.5000  0.0088  0.0088
Ca  0.5000  0.0087  0.4817
Ca  0.5000  0.4788  0.4788
Ca  0.5000  0.4817  0.0087
Mn  0.2470  0.2454  0.7428
Mn  0.2470  0.7428  0.2454
Mn  0.2496  0.2444  0.2444
Mn  0.2599  0.7423  0.7423
Mn  0.7401  0.7423  0.7423
Mn  0.7504  0.2444  0.2444
Mn  0.7530  0.2454  0.7428
Mn  0.7530  0.7428  0.2454
O  0.0000  0.2406  0.7394
O  0.0000  0.2466  0.2466
O  0.0000  0.7394  0.2406
O  0.2144  0.4980  0.7428
O  0.2144  0.7428  0.4980
O  0.2263  0.7386  0.9896
O  0.2263  0.9896  0.7386
O  0.2576  0.2453  0.4932
O  0.2576  0.4932  0.2453
O  0.2605  0.2468  0.9936
O  0.2605  0.9936  0.2468
O  0.5000  0.2448  0.2448
O  0.5000  0.2483  0.7414
O  0.5000  0.7385  0.7385
O  0.5000  0.7414  0.2483
O  0.7395  0.2468  0.9936
O  0.7395  0.9936  0.2468
O  0.7424  0.2453  0.4932
O  0.7424  0.4932  0.2453
O  0.7737  0.7386  0.9896
O  0.7737  0.9896  0.7386
O  0.7856  0.4980  0.7428
O  0.7856  0.7428  0.4980

Largest 10 diffraction maxima, most intense first, 2θ = 5–70°:
2theta  I (rel.)
32.99  100
47.60  45
33.16  44
59.13  33
69.21  23
47.11  22
58.81  17
69.59  12
23.28  9
40.77  9

Q: Number 10 is which compound?
A: SrCa7Mn8O23